(1)
MgTl6Si2O7: computed powder X-ray diffraction pattern (λ = 1.5418 Å (Cu Kα)), based on DFT lattice parameters and positions (PBE).

Top 10 peaks for 10° ≤ 2θ ≤ 90°, sorted by position:
2theta, I (rel.)
19.51, 22.8
20.28, 37.1
25.94, 41.2
26.85, 37.2
28.57, 100.0
28.87, 25.5
30.01, 28.5
31.66, 28.9
33.81, 48.0
46.43, 25.4

Structural model:
```
MgTl6Si2O7
1.0
5.3048 0.0000 0.0000
0.1293 8.6997 0.0000
0.3046 4.0100 7.7976
Mg Tl Si O
1 6 2 7
Direct
0.0000 0.0000 0.0000
0.0088 0.6492 0.8578
0.0162 0.6368 0.3061
0.0468 0.1701 0.6022
0.4800 0.9223 0.4352
0.5046 0.4490 0.2659
0.5108 0.3115 0.9000
0.4614 0.8784 0.9040
0.9717 0.2284 0.2027
0.0635 0.4238 0.1696
0.0666 0.0783 0.3889
0.0808 0.1890 0.0458
0.4253 0.9821 0.6958
0.5537 0.6777 0.9713
0.6434 0.9844 0.9722
0.6568 0.2278 0.2016
```

***

(2)
MgU2Si2O18: computed powder X-ray diffraction pattern (λ = 1.5418 Å (Cu Kα)), based on DFT lattice parameters and positions (PBE).

Top 10 peaks for 10° ≤ 2θ ≤ 90°, sorted by position:
2theta, I (rel.)
12.14, 100.0
14.34, 33.7
17.81, 29.1
21.34, 21.4
21.91, 24.5
24.43, 25.4
24.91, 32.6
27.80, 25.8
29.05, 32.5
29.46, 27.6

Structural model:
```
MgU2Si2O18
1.0
7.9593 -3.5743 0.0000
7.9593 3.5743 0.0000
-2.7921 0.0000 6.3588
Mg U Si O
1 2 2 18
Direct
0.0000 0.0000 0.0000
0.2465 0.2465 0.3595
0.7535 0.7535 0.6405
0.2638 0.2638 0.8354
0.7362 0.7362 0.1646
0.0659 0.0659 0.7944
0.0819 0.4358 0.6903
0.1196 0.1196 0.2606
0.2356 0.2356 0.0289
0.2882 0.6089 0.0959
0.3692 0.3692 0.4577
0.3911 0.7118 0.9041
0.4034 0.4034 0.0262
0.4358 0.0819 0.6903
0.5642 0.9181 0.3097
0.5966 0.5966 0.9738
0.6089 0.2882 0.0959
0.6308 0.6308 0.5423
0.7118 0.3911 0.9041
0.7644 0.7644 0.9711
0.8804 0.8804 0.7394
0.9181 0.5642 0.3097
0.9341 0.9341 0.2056
```

***

(3)
MgU2Si2O17: computed powder X-ray diffraction pattern (λ = 1.5418 Å (Cu Kα)), based on DFT lattice parameters and positions (PBE).

Top 10 peaks for 10° ≤ 2θ ≤ 90°, sorted by position:
2theta, I (rel.)
10.43, 100.0
15.12, 22.0
18.38, 17.4
20.04, 23.8
20.94, 29.3
22.27, 16.7
25.32, 21.7
27.45, 19.9
29.43, 22.9
31.57, 17.3

Structural model:
```
MgU2Si2O17
1.0
8.7019 -3.5173 0.0000
8.7019 3.5173 0.0000
-1.5001 0.0000 6.5612
Mg U Si O
1 2 2 17
Direct
0.0000 0.0000 0.0000
0.2607 0.2607 0.6487
0.7393 0.7393 0.3513
0.2086 0.2086 0.1525
0.7914 0.7914 0.8475
0.0000 0.0000 0.5000
0.0595 0.4182 0.3093
0.1150 0.1150 0.0630
0.1350 0.8498 0.7083
0.1502 0.8650 0.2917
0.1542 0.1542 0.5781
0.2535 0.2535 0.9630
0.3670 0.3670 0.6787
0.4182 0.0595 0.3093
0.5818 0.9405 0.6907
0.6330 0.6330 0.3213
0.7465 0.7465 0.0370
0.8458 0.8458 0.4219
0.8498 0.1350 0.7083
0.8650 0.1502 0.2917
0.8850 0.8850 0.9370
0.9405 0.5818 0.6907
```

***

(4)
MgU2Si2O18: computed powder X-ray diffraction pattern (λ = 1.5418 Å (Cu Kα)), based on DFT lattice parameters and positions (PBE).

Top 10 peaks for 10° ≤ 2θ ≤ 90°, sorted by position:
2theta, I (rel.)
10.76, 100.0
15.42, 24.8
18.47, 16.4
19.91, 23.8
21.61, 30.9
25.62, 24.2
27.86, 21.3
29.23, 34.7
41.96, 14.3
44.08, 15.0

Structural model:
```
MgU2Si2O18
1.0
8.3785 -3.4771 0.0000
8.3785 3.4771 0.0000
-1.2958 0.0000 6.6784
Mg U Si O
1 2 2 18
Direct
0.0000 0.0000 0.0000
0.2529 0.2529 0.6429
0.7471 0.7471 0.3571
0.2069 0.2069 0.1529
0.7931 0.7931 0.8471
0.0613 0.4162 0.3113
0.1108 0.1108 0.0769
0.1422 0.1422 0.5901
0.2532 0.2532 0.9613
0.3278 0.6442 0.1873
0.3558 0.6722 0.8127
0.3624 0.3624 0.6565
0.4162 0.0613 0.3113
0.4534 0.4534 0.2310
0.5466 0.5466 0.7690
0.5838 0.9387 0.6887
0.6376 0.6376 0.3435
0.6442 0.3278 0.1873
0.6722 0.3558 0.8127
0.7468 0.7468 0.0387
0.8578 0.8578 0.4099
0.8892 0.8892 0.9231
0.9387 0.5838 0.6887
```

***

(5)
Y3Mg2Si3O13: computed powder X-ray diffraction pattern (λ = 1.5418 Å (Cu Kα)), based on DFT lattice parameters and positions (PBE).

Top 10 peaks for 10° ≤ 2θ ≤ 90°, sorted by position:
2theta, I (rel.)
10.80, 16.0
18.77, 12.9
23.12, 14.8
26.96, 34.7
28.85, 13.9
31.92, 100.0
32.81, 16.0
50.50, 18.3
50.85, 32.8
52.58, 17.4

Structural model:
```
Y3Mg2Si3O13
1.0
9.4554 0.0000 0.0000
-4.7277 8.1886 0.0000
0.0000 0.0000 6.6145
Y Mg Si O
6 4 6 26
Direct
0.0050 0.2456 0.2500
0.2406 0.9950 0.2500
0.2456 0.2406 0.7500
0.7544 0.7594 0.2500
0.7594 0.0050 0.7500
0.9950 0.7544 0.7500
0.3333 0.6667 0.5168
0.3333 0.6667 0.9832
0.6667 0.3333 0.0168
0.6667 0.3333 0.4832
0.0251 0.6227 0.2500
0.3773 0.4024 0.2500
0.4024 0.0251 0.7500
0.5976 0.9749 0.2500
0.6227 0.5976 0.7500
0.9749 0.3773 0.7500
0.0000 0.0000 0.2500
0.0000 0.0000 0.7500
0.0834 0.7527 0.0598
0.0834 0.7527 0.4402
0.1348 0.5328 0.2500
0.1717 0.5020 0.7500
0.2473 0.3307 0.0598
0.2473 0.3307 0.4402
0.3303 0.8283 0.7500
0.3307 0.0834 0.5598
0.3307 0.0834 0.9402
0.3980 0.8652 0.2500
0.4672 0.6020 0.2500
0.4980 0.6697 0.7500
0.5020 0.3303 0.2500
0.5328 0.3980 0.7500
0.6020 0.1348 0.7500
0.6693 0.9166 0.0598
0.6693 0.9166 0.4402
0.6697 0.1717 0.2500
0.7527 0.6693 0.5598
0.7527 0.6693 0.9402
0.8283 0.4980 0.2500
0.8652 0.4672 0.7500
0.9166 0.2473 0.5598
0.9166 0.2473 0.9402
```

***

Repeat the third record exactly.
MgU2Si2O17: computed powder X-ray diffraction pattern (λ = 1.5418 Å (Cu Kα)), based on DFT lattice parameters and positions (PBE).

Top 10 peaks for 10° ≤ 2θ ≤ 90°, sorted by position:
2theta, I (rel.)
10.43, 100.0
15.12, 22.0
18.38, 17.4
20.04, 23.8
20.94, 29.3
22.27, 16.7
25.32, 21.7
27.45, 19.9
29.43, 22.9
31.57, 17.3

Structural model:
```
MgU2Si2O17
1.0
8.7019 -3.5173 0.0000
8.7019 3.5173 0.0000
-1.5001 0.0000 6.5612
Mg U Si O
1 2 2 17
Direct
0.0000 0.0000 0.0000
0.2607 0.2607 0.6487
0.7393 0.7393 0.3513
0.2086 0.2086 0.1525
0.7914 0.7914 0.8475
0.0000 0.0000 0.5000
0.0595 0.4182 0.3093
0.1150 0.1150 0.0630
0.1350 0.8498 0.7083
0.1502 0.8650 0.2917
0.1542 0.1542 0.5781
0.2535 0.2535 0.9630
0.3670 0.3670 0.6787
0.4182 0.0595 0.3093
0.5818 0.9405 0.6907
0.6330 0.6330 0.3213
0.7465 0.7465 0.0370
0.8458 0.8458 0.4219
0.8498 0.1350 0.7083
0.8650 0.1502 0.2917
0.8850 0.8850 0.9370
0.9405 0.5818 0.6907
```